Starting from the PBE+U geometry in Alexandria, the powder diffractogram of Y2CrSiO6 was calculated for Cu Kα.

Peak list (8 most intense, 10° ≤ 2θ ≤ 90°, low angle first)
| 2θ (°) | Rel. int. | (hkl) |
| --- | --- | --- |
| 20.27 | 24 | 0 0 1 |
| 31.43 | 100 | 1 1 1 |
| 33.85 | 40 | 2 0 0 |
| 39.78 | 21 | 2 0 1 |
| 48.13 | 17 | 1 1 2 |
| 48.62 | 30 | 2 2 0 |
| 54.36 | 24 | 2 0 2 |
| 59.05 | 31 | 3 1 1 |

Crystal structure
Cell lengths 5.2962, 5.2962, 4.3805 Å; angles 90.00, 90.00, 90.00 degrees
Atoms (fractional coordinates):
Y (0.0000, 0.5000, 0.0000)
Y (0.5000, 0.0000, 0.0000)
Cr (0.0000, 0.0000, 0.5806)
Si (0.5000, 0.5000, 0.5937)
O (0.0000, 0.0000, 0.1146)
O (0.2752, 0.2752, 0.6991)
O (0.2752, 0.7248, 0.6991)
O (0.5000, 0.5000, 0.2144)
O (0.7248, 0.2752, 0.6991)
O (0.7248, 0.7248, 0.6991)